# 1
This entry pairs a crystal structure of Hf2ScGa8 with its theoretical powder X-ray diffraction pattern. Radiation: a wavelength of 1.5418 Å. Structure: a structure optimized by DFT (PBE).
Kinematic intensities with the Lorentz-polarization factor, no thermal factor.

Crystal structure
Cell lengths 7.8330, 7.8330, 5.3025 Å; angles 109.61, 109.61, 121.83 degrees
Positions (direct):
1 Hf 0.1870 0.8130 0.0000
2 Hf 0.8130 0.1870 0.0000
3 Sc 0.5000 0.5000 0.5000
4 Ga 0.9997 0.9997 0.2317
5 Ga 0.0003 0.0003 0.7683
6 Ga 0.1426 0.3919 0.7661
7 Ga 0.2910 0.7090 0.5000
8 Ga 0.3919 0.1426 0.7661
9 Ga 0.6081 0.8574 0.2339
10 Ga 0.7090 0.2910 0.5000
11 Ga 0.8574 0.6081 0.2339

Main lines, in order of rising 2θ (10° ≤ 2θ ≤ 80°):
two_theta  I_rel
12.93  36
17.35  37
33.81  57
36.34  43
36.95  100
37.24  35
37.50  34
41.81  43
42.07  80
49.72  32

---

# 2
This entry pairs a crystal structure of Hf5ScGa6 with its theoretical powder X-ray diffraction pattern. Radiation: a wavelength of 1.5418 Å. Structure: a structure optimized by DFT (PBE).
Kinematic intensities with the Lorentz-polarization factor, no thermal factor.

Crystal structure
Cell lengths 6.4324, 6.4324, 5.7774 Å; angles 95.89, 95.89, 92.62 degrees
Positions (direct):
1 Hf 0.0000 0.0000 0.0000
2 Hf 0.1636 0.8364 0.5000
3 Hf 0.3328 0.6672 0.0000
4 Hf 0.6672 0.3328 0.0000
5 Hf 0.8364 0.1636 0.5000
6 Sc 0.5000 0.5000 0.5000
7 Ga 0.0810 0.4210 0.2518
8 Ga 0.2522 0.2522 0.7537
9 Ga 0.4210 0.0810 0.2518
10 Ga 0.5790 0.9190 0.7482
11 Ga 0.7478 0.7478 0.2463
12 Ga 0.9190 0.5790 0.7482

Main lines, in order of rising 2θ (10° ≤ 2θ ≤ 80°):
two_theta  I_rel
20.21  25
33.74  14
34.83  51
35.16  100
40.12  35
41.08  33
43.74  54
56.33  26
65.16  17
69.70  13

---

# 3
This entry pairs a crystal structure of Hf2Sc3Ga2 with its theoretical powder X-ray diffraction pattern. Radiation: a wavelength of 1.5418 Å. Structure: a structure optimized by DFT (PBE).
Kinematic intensities with the Lorentz-polarization factor, no thermal factor.

Crystal structure
Cell lengths 4.1983, 22.5800, 3.0811 Å; angles 90.00, 90.00, 90.00 degrees
Positions (direct):
1 Hf 0.0000 0.2077 0.0000
2 Hf 0.0000 0.7923 0.0000
3 Hf 0.5000 0.2923 0.0000
4 Hf 0.5000 0.7077 0.0000
5 Sc 0.0000 0.3638 0.5000
6 Sc 0.0000 0.5000 0.5000
7 Sc 0.0000 0.6362 0.5000
8 Sc 0.5000 0.0000 0.5000
9 Sc 0.5000 0.1362 0.5000
10 Sc 0.5000 0.8638 0.5000
11 Ga 0.0000 0.0729 0.0000
12 Ga 0.0000 0.9271 0.0000
13 Ga 0.5000 0.4271 0.0000
14 Ga 0.5000 0.5729 0.0000

Main lines, in order of rising 2θ (10° ≤ 2θ ≤ 80°):
two_theta  I_rel
24.28  25
29.01  53
30.06  24
35.08  100
36.39  52
38.15  27
43.09  30
43.48  27
46.12  33
71.49  24

---

# 4
This entry pairs a crystal structure of HfScGa6 with its theoretical powder X-ray diffraction pattern. Radiation: a wavelength of 1.5418 Å. Structure: a structure optimized by DFT (PBE).
Kinematic intensities with the Lorentz-polarization factor, no thermal factor.

Crystal structure
Cell lengths 4.0972, 4.0972, 8.2762 Å; angles 90.00, 90.00, 90.00 degrees
Positions (direct):
1 Hf 0.0000 0.0000 0.0000
2 Sc 0.0000 0.0000 0.5000
3 Ga 0.0000 0.5000 0.2506
4 Ga 0.0000 0.5000 0.7494
5 Ga 0.5000 0.0000 0.2506
6 Ga 0.5000 0.0000 0.7494
7 Ga 0.5000 0.5000 0.0000
8 Ga 0.5000 0.5000 0.5000

Main lines, in order of rising 2θ (10° ≤ 2θ ≤ 80°):
two_theta  I_rel
10.69  18
24.24  12
32.75  6
37.91  100
43.75  17
44.21  32
63.95  21
64.31  10
76.49  12
77.14  24